No. 1
Ba2Sr2CoCu3O12: simulated XRD peak list (Cu Kα, 1.54184 Å), based on a crystal structure in the Materials Project, relaxed with PBE+U.
Neutral-atom scattering factors, no anomalous dispersion.

Structural model:
Lattice parameters (Å, degrees): 7.9290 7.9189 7.9347 90.00 90.09 90.00
Positions (direct):
Ba 0.0000 0.0000 0.0000
Ba 0.0012 0.5000 0.4964
Ba 0.4969 0.0000 0.0005
Ba 0.4978 0.5000 0.9996
Sr 0.0041 0.0000 0.4948
Sr 0.0036 0.5000 0.0025
Sr 0.4937 0.5000 0.4941
Sr 0.4945 0.0000 0.4958
Co 0.7489 0.2499 0.7434
Co 0.7489 0.7501 0.7434
Cu 0.2489 0.2500 0.2483
Cu 0.2487 0.2500 0.7475
Cu 0.2489 0.7500 0.2483
Cu 0.2487 0.7500 0.7475
Cu 0.7489 0.2500 0.2478
Cu 0.7489 0.7500 0.2478
O 0.2426 0.2560 0.9965
O 0.2426 0.7440 0.9965
O 0.2488 0.0000 0.2620
O 0.2490 0.0000 0.7331
O 0.2502 0.5000 0.2523
O 0.2506 0.5000 0.7435
O 0.2541 0.2451 0.4995
O 0.2541 0.7549 0.4995
O 0.5008 0.2501 0.2623
O 0.5008 0.7499 0.2623
O 0.5067 0.2502 0.7395
O 0.5067 0.7498 0.7395
O 0.7469 0.2472 0.5049
O 0.7469 0.7528 0.5049
O 0.7482 0.5000 0.2504
O 0.7482 0.5000 0.7435
O 0.7492 0.0000 0.2631
O 0.7490 0.0000 0.7423
O 0.7522 0.2537 0.9887
O 0.7522 0.7463 0.9887
O 0.9911 0.2493 0.7444
O 0.9911 0.7507 0.7444
O 0.9972 0.2489 0.2519
O 0.9972 0.7511 0.2519

Most intense lines, 2θ from 15° to 90°, by angle:
d 2.803, 31.93°, I 100; d 2.288, 39.37°, I 12; d 1.982, 45.78°, I 35; d 1.618, 56.89°, I 32; d 1.617, 56.95°, I 6; d 1.403, 66.65°, I 3; d 1.401, 66.77°, I 17; d 1.254, 75.84°, I 7; d 1.253, 75.96°, I 10; d 1.145, 84.66°, I 3

---

No. 2
Ba3Sr5Co2Cu6O24: simulated XRD peak list (Cu Kα, 1.54184 Å), based on a crystal structure in the Materials Project, relaxed with PBE+U.
Neutral-atom scattering factors, no anomalous dispersion.

Structural model:
Lattice parameters (Å, degrees): 7.8540 7.8734 7.8631 90.00 90.03 90.00
Positions (direct):
Ba 0.0000 0.0000 0.0000
Ba 0.9997 0.0000 0.4968
Ba 0.9997 0.5000 0.0001
Sr 0.5053 0.0000 0.0021
Sr 0.5058 0.0000 0.4937
Sr 0.5061 0.5000 0.0034
Sr 0.5067 0.5000 0.4939
Sr 0.9980 0.5000 0.4947
Co 0.2585 0.2514 0.7462
Co 0.2585 0.7486 0.7462
Cu 0.2530 0.2501 0.2481
Cu 0.2530 0.7499 0.2481
Cu 0.7519 0.2502 0.2485
Cu 0.7519 0.7498 0.2485
Cu 0.7528 0.2504 0.7478
Cu 0.7528 0.7496 0.7478
O 0.0042 0.2571 0.2552
O 0.0042 0.7429 0.2552
O 0.0108 0.2543 0.7439
O 0.0108 0.7457 0.7439
O 0.2593 0.2536 0.5041
O 0.2588 0.5000 0.7457
O 0.2593 0.7464 0.5041
O 0.2601 0.0000 0.7469
O 0.2618 0.2510 0.9913
O 0.2618 0.7490 0.9913
O 0.2630 0.5000 0.2539
O 0.2677 0.0000 0.2490
O 0.4974 0.2512 0.7463
O 0.4974 0.7488 0.7463
O 0.5014 0.2522 0.2500
O 0.5014 0.7478 0.2500
O 0.7386 0.0000 0.2496
O 0.7388 0.0000 0.7464
O 0.7385 0.2516 0.9968
O 0.7385 0.7484 0.9968
O 0.7431 0.5000 0.2540
O 0.7435 0.2561 0.4996
O 0.7442 0.5000 0.7416
O 0.7435 0.7439 0.4996

Most intense lines, 2θ from 15° to 90°, by angle:
d 2.780, 32.20°, I 100; d 2.270, 39.71°, I 11; d 1.967, 46.15°, I 23; d 1.964, 46.24°, I 12; d 1.605, 57.41°, I 38; d 1.390, 67.35°, I 17; d 1.389, 67.43°, I 3; d 1.244, 76.57°, I 8; d 1.243, 76.70°, I 7; d 1.135, 85.57°, I 7

---

No. 3
BaDyCo4O12: simulated XRD peak list (Cu Kα, 1.54184 Å), based on a crystal structure in the Materials Project, relaxed with PBE+U.
Neutral-atom scattering factors, no anomalous dispersion.

Structural model:
Lattice parameters (Å, degrees): 5.3881 5.3881 7.4959 90.00 90.00 90.00
Positions (direct):
Ba 0.0000 0.0000 0.0000
Dy 0.5000 0.5000 0.5000
Co 0.0000 0.5000 0.2498
Co 0.0000 0.5000 0.7502
Co 0.5000 0.0000 0.2498
Co 0.5000 0.0000 0.7502
O 0.0000 0.5000 0.0000
O 0.0000 0.5000 0.5000
O 0.2633 0.2633 0.2688
O 0.2633 0.2633 0.7312
O 0.2633 0.7367 0.2688
O 0.2633 0.7367 0.7312
O 0.5000 0.0000 0.0000
O 0.5000 0.0000 0.5000
O 0.7367 0.2633 0.2688
O 0.7367 0.2633 0.7312
O 0.7367 0.7367 0.2688
O 0.7367 0.7367 0.7312

Most intense lines, 2θ from 15° to 90°, by angle:
d 4.375, 20.30°, I 100; d 2.694, 33.26°, I 38; d 2.672, 33.54°, I 74; d 2.294, 39.27°, I 36; d 2.267, 39.77°, I 17; d 1.905, 47.74°, I 31; d 1.734, 52.78°, I 16; d 1.551, 59.61°, I 29; d 1.538, 60.15°, I 15; d 1.336, 70.49°, I 16

---

No. 4
Ba4Sr2Dy2Co4O15: simulated XRD peak list (Cu Kα, 1.54184 Å), based on a crystal structure in the Materials Project, relaxed with PBE+U.
Neutral-atom scattering factors, no anomalous dispersion.

Structural model:
Lattice parameters (Å, degrees): 11.7010 11.7010 6.8615 90.42 90.42 119.86
Positions (direct):
Ba 0.0824 0.4311 0.4981
Ba 0.0857 0.9143 0.5000
Ba 0.4311 0.0824 0.9981
Ba 0.4333 0.6055 0.9919
Ba 0.5939 0.9241 0.3199
Ba 0.6055 0.4333 0.4919
Ba 0.9143 0.0857 0.0000
Ba 0.9241 0.5939 0.8199
Sr 0.2605 0.2602 0.3101
Sr 0.2602 0.2605 0.8101
Sr 0.3090 0.7838 0.6599
Sr 0.7838 0.3090 0.1599
Dy 0.2127 0.7356 0.1570
Dy 0.7354 0.7809 0.6674
Dy 0.7356 0.2127 0.6570
Dy 0.7809 0.7354 0.1674
Co 0.0804 0.4328 0.9875
Co 0.0809 0.9078 0.9945
Co 0.4328 0.0804 0.4875
Co 0.4329 0.6118 0.4805
Co 0.5940 0.9248 0.8600
Co 0.6118 0.4329 0.9805
Co 0.9078 0.0809 0.4945
Co 0.9248 0.5940 0.3600
O 0.0044 0.7647 0.1689
O 0.0184 0.5162 0.1623
O 0.0810 0.1659 0.5653
O 0.0898 0.6765 0.4808
O 0.1646 0.3460 0.0700
O 0.1659 0.0810 0.0653
O 0.1920 0.8579 0.8803
O 0.1961 0.5922 0.8723
O 0.3186 0.9263 0.3423
O 0.3243 0.6545 0.3430
O 0.3460 0.1646 0.5700
O 0.3549 0.4450 0.5717
O 0.4263 0.8411 0.0040
O 0.4450 0.3549 0.0717
O 0.5162 0.0184 0.6623
O 0.5211 0.7582 0.6626
O 0.5922 0.1961 0.3723
O 0.5981 0.6594 0.3581
O 0.6545 0.3243 0.8430
O 0.6594 0.5981 0.8581
O 0.6765 0.0898 0.9808
O 0.6790 0.8382 0.9984
O 0.7582 0.5211 0.1626
O 0.7647 0.0044 0.6689
O 0.8382 0.6790 0.4984
O 0.8411 0.4263 0.5040
O 0.8579 0.1920 0.3803
O 0.8611 0.9198 0.3632
O 0.9198 0.8611 0.8632
O 0.9263 0.3186 0.8423

Most intense lines, 2θ from 15° to 90°, by angle:
d 3.333, 26.75°, I 10; d 2.947, 30.33°, I 13; d 2.927, 30.54°, I 100; d 2.859, 31.29°, I 19; d 2.840, 31.50°, I 17; d 2.825, 31.67°, I 17; d 2.424, 37.09°, I 10; d 2.406, 37.38°, I 10; d 2.392, 37.60°, I 13; d 1.691, 54.25°, I 12

---

No. 5
BaEr2CoO5: simulated XRD peak list (Cu Kα, 1.54184 Å), based on a crystal structure in the Materials Project, relaxed with PBE+U.
Neutral-atom scattering factors, no anomalous dispersion.

Structural model:
Lattice parameters (Å, degrees): 12.2891 5.7220 7.0801 90.00 90.00 90.00
Positions (direct):
Ba 0.1006 0.2500 0.0791
Ba 0.3994 0.7500 0.5791
Ba 0.6006 0.2500 0.4209
Ba 0.8994 0.7500 0.9209
Er 0.0744 0.7500 0.4016
Er 0.2085 0.2500 0.6196
Er 0.2915 0.7500 0.1196
Er 0.4256 0.2500 0.9016
Er 0.5744 0.7500 0.0984
Er 0.7085 0.2500 0.8804
Er 0.7915 0.7500 0.3804
Er 0.9256 0.2500 0.5984
Co 0.1522 0.7500 0.8079
Co 0.3478 0.2500 0.3079
Co 0.6522 0.7500 0.6921
Co 0.8478 0.2500 0.1921
O 0.0659 0.5026 0.6647
O 0.0659 0.9974 0.6647
O 0.1026 0.7500 0.0781
O 0.2250 0.0002 0.3619
O 0.2250 0.4998 0.3619
O 0.2750 0.9998 0.8619
O 0.2750 0.5002 0.8619
O 0.3974 0.2500 0.5781
O 0.4341 0.0026 0.1647
O 0.4341 0.4974 0.1647
O 0.5659 0.5026 0.8353
O 0.5659 0.9974 0.8353
O 0.6026 0.7500 0.4219
O 0.7250 0.0002 0.1381
O 0.7250 0.4998 0.1381
O 0.7750 0.9998 0.6381
O 0.7750 0.5002 0.6381
O 0.8974 0.2500 0.9219
O 0.9341 0.0026 0.3353
O 0.9341 0.4974 0.3353

Most intense lines, 2θ from 15° to 90°, by angle:
d 3.014, 29.64°, I 100; d 2.924, 30.57°, I 78; d 2.861, 31.26°, I 51; d 2.818, 31.75°, I 22; d 2.706, 33.10°, I 18; d 2.426, 37.06°, I 15; d 2.008, 45.16°, I 31; d 1.680, 54.64°, I 18; d 1.664, 55.20°, I 18; d 1.566, 58.97°, I 17

---

No. 6
BaEr2CoO5: simulated XRD peak list (Cu Kα, 1.54184 Å), based on a crystal structure in the Materials Project, relaxed with PBE+U.
Neutral-atom scattering factors, no anomalous dispersion.

Structural model:
Lattice parameters (Å, degrees): 6.7014 6.7014 6.7014 147.35 128.79 62.07
Positions (direct):
Ba 0.0000 0.0000 0.0000
Er 0.2964 0.7964 0.5000
Er 0.7036 0.2036 0.5000
Co 0.5000 0.5000 0.0000
O 0.1068 0.3477 0.7591
O 0.4113 0.6523 0.7591
O 0.5000 0.0000 0.5000
O 0.5887 0.3477 0.2409
O 0.8932 0.6523 0.2409

Most intense lines, 2θ from 15° to 90°, by angle:
d 3.194, 27.94°, I 34; d 2.896, 30.87°, I 31; d 2.767, 32.35°, I 100; d 2.252, 40.04°, I 13; d 2.039, 44.43°, I 15; d 1.961, 46.29°, I 15; d 1.884, 48.31°, I 14; d 1.646, 55.85°, I 22; d 1.623, 56.70°, I 27; d 1.579, 58.45°, I 16